# Ba2PrCo4O8
Theoretical powder diffractogram, a wavelength of 1.5418 Å. Input: a DFT-relaxed cell (PBE+U, OQMD).
No peak broadening, texture or thermal motion is included.

Principal peaks in the range 10 to 90 degrees two-theta, low angle first:
2θ/deg  I_rel
30.28  52
32.14  99
32.37  100
35.18  56
39.86  24
45.44  34
46.21  32
47.42  25
57.55  39
58.73  25
61.50  25
66.82  20

Crystal structure
Cell: 3.9924 26.8395 3.9288 Å, 90.00 90.00 90.00°
Space group Cmmm (No. 65)
Symmetry-distinct sites (fractional):
Ba 0.0000 0.1387 0.0000 (multiplicity 4)
Pr 0.0000 0.0000 0.0000 (multiplicity 2)
Co 0.0000 0.2875 0.5000 (multiplicity 4)
Co 0.0000 0.4319 0.5000 (multiplicity 4)
O 0.0000 0.0571 0.5000 (multiplicity 4)
O 0.0000 0.2179 0.5000 (multiplicity 4)
O 0.0000 0.3544 0.5000 (multiplicity 4)
O 0.0000 0.4433 0.0000 (multiplicity 4)